1.
SbPd6Au3: simulated XRD peak list (a wavelength of 1.5418 Å), based on the PBE geometry in Alexandria.
Neutral-atom scattering factors, no anomalous dispersion.

Crystal structure
Lattice parameters (Å, degrees): 8.7762 4.1553 9.2264 90.00 94.73 90.00
Positions (direct):
1 Sb 0.0753 0.2500 0.3666
2 Sb 0.9247 0.7500 0.6334
3 Pd 0.0475 0.7500 0.9027
4 Pd 0.1291 0.2500 0.6819
5 Pd 0.1610 0.7500 0.1910
6 Pd 0.2365 0.7500 0.4982
7 Pd 0.3603 0.2500 0.2976
8 Pd 0.4543 0.7500 0.0993
9 Pd 0.5457 0.2500 0.9007
10 Pd 0.6397 0.7500 0.7024
11 Pd 0.7635 0.2500 0.5018
12 Pd 0.8390 0.2500 0.8090
13 Pd 0.8709 0.7500 0.3181
14 Pd 0.9525 0.2500 0.0973
15 Au 0.2501 0.2500 0.9967
16 Au 0.3416 0.7500 0.7987
17 Au 0.4462 0.2500 0.5995
18 Au 0.5538 0.7500 0.4005
19 Au 0.6584 0.2500 0.2013
20 Au 0.7499 0.7500 0.0033

Peak list (10 most intense, 2θ from 10° to 90°, low angle first)
| d [Å] | Rel. int. |
| --- | --- |
| 2.349 | 99 |
| 2.334 | 100 |
| 2.108 | 34 |
| 2.078 | 37 |
| 1.914 | 27 |
| 1.480 | 22 |
| 1.408 | 19 |
| 1.246 | 14 |
| 1.243 | 13 |
| 1.175 | 18 |

=====

2.
SbPd6Au2: simulated XRD peak list (a wavelength of 1.5418 Å), based on the PBE geometry in Alexandria.
Neutral-atom scattering factors, no anomalous dispersion.

Crystal structure
Lattice parameters (Å, degrees): 4.8832 4.8832 8.4550 103.72 103.72 50.20
Positions (direct):
1 Sb 0.0000 0.0000 0.0000
2 Pd 0.0093 0.0093 0.3332
3 Pd 0.3393 0.3393 0.4452
4 Pd 0.3436 0.3436 0.1074
5 Pd 0.6564 0.6564 0.8926
6 Pd 0.6607 0.6607 0.5548
7 Pd 0.9907 0.9907 0.6668
8 Au 0.3162 0.3162 0.7627
9 Au 0.6838 0.6838 0.2373

Peak list (10 most intense, 2θ from 10° to 90°, low angle first)
| d [Å] | Rel. int. |
| --- | --- |
| 2.345 | 99 |
| 2.328 | 100 |
| 2.072 | 36 |
| 2.062 | 33 |
| 1.944 | 29 |
| 1.461 | 22 |
| 1.418 | 21 |
| 1.242 | 13 |
| 1.240 | 23 |
| 1.233 | 11 |

=====

3.
Zn2SbPd5Au2: simulated XRD peak list (a wavelength of 1.5418 Å), based on the PBE geometry in Alexandria.
Neutral-atom scattering factors, no anomalous dispersion.

Crystal structure
Lattice parameters (Å, degrees): 9.3024 9.3024 3.8607 90.00 90.00 90.00
Positions (direct):
1 Zn 0.1268 0.3732 0.0000
2 Zn 0.3732 0.8732 0.0000
3 Zn 0.6268 0.1268 0.0000
4 Zn 0.8732 0.6268 0.0000
5 Sb 0.0000 0.0000 0.0000
6 Sb 0.5000 0.5000 0.0000
7 Pd 0.0000 0.5000 0.5000
8 Pd 0.0931 0.1904 0.5000
9 Pd 0.1904 0.9069 0.5000
10 Pd 0.3096 0.4069 0.5000
11 Pd 0.4069 0.6904 0.5000
12 Pd 0.5000 0.0000 0.5000
13 Pd 0.5931 0.3096 0.5000
14 Pd 0.6904 0.5931 0.5000
15 Pd 0.8096 0.0931 0.5000
16 Pd 0.9069 0.8096 0.5000
17 Au 0.1657 0.6657 0.0000
18 Au 0.3343 0.1657 0.0000
19 Au 0.6657 0.8343 0.0000
20 Au 0.8343 0.3343 0.0000

Peak list (10 most intense, 2θ from 10° to 90°, low angle first)
| d [Å] | Rel. int. |
| --- | --- |
| 2.830 | 33 |
| 2.340 | 100 |
| 2.256 | 30 |
| 2.145 | 17 |
| 2.080 | 15 |
| 1.930 | 22 |
| 1.467 | 15 |
| 1.415 | 9 |
| 1.213 | 12 |
| 1.179 | 11 |

=====

4.
Sc2Pd5Au2: simulated XRD peak list (a wavelength of 1.5418 Å), based on the PBE geometry in Alexandria.
Neutral-atom scattering factors, no anomalous dispersion.

Crystal structure
Lattice parameters (Å, degrees): 8.4748 4.5735 4.5735 60.12 90.00 90.00
Positions (direct):
1 Sc 0.1944 0.0000 0.0000
2 Sc 0.8056 0.0000 0.0000
3 Pd 0.1643 0.3334 0.3334
4 Pd 0.3338 0.6667 0.6667
5 Pd 0.5000 0.0006 0.0006
6 Pd 0.6662 0.6667 0.6667
7 Pd 0.8357 0.3334 0.3334
8 Au 0.0000 0.6672 0.6672
9 Au 0.5000 0.3338 0.3338

Peak list (10 most intense, 2θ from 10° to 90°, low angle first)
| d [Å] | Rel. int. |
| --- | --- |
| 4.237 | 7 |
| 3.963 | 17 |
| 3.590 | 17 |
| 2.300 | 100 |
| 2.288 | 94 |
| 1.622 | 34 |
| 1.324 | 23 |
| 1.322 | 22 |
| 1.202 | 22 |
| 1.143 | 7 |

=====

5.
ScPd3Au4: simulated XRD peak list (a wavelength of 1.5418 Å), based on the PBE geometry in Alexandria.
Neutral-atom scattering factors, no anomalous dispersion.

Crystal structure
Lattice parameters (Å, degrees): 2.9622 8.7012 11.1710 90.00 90.00 90.00
Positions (direct):
1 Sc 0.0000 0.0000 0.0000
2 Sc 0.5000 0.5000 0.5000
3 Pd 0.0000 0.0000 0.5000
4 Pd 0.0000 0.5000 0.3057
5 Pd 0.0000 0.5000 0.6943
6 Pd 0.5000 0.0000 0.1943
7 Pd 0.5000 0.0000 0.8057
8 Pd 0.5000 0.5000 0.0000
9 Au 0.0000 0.2748 0.1299
10 Au 0.0000 0.2748 0.8701
11 Au 0.0000 0.7252 0.1299
12 Au 0.0000 0.7252 0.8701
13 Au 0.5000 0.2252 0.3701
14 Au 0.5000 0.2252 0.6299
15 Au 0.5000 0.7748 0.3701
16 Au 0.5000 0.7748 0.6299

Peak list (10 most intense, 2θ from 10° to 90°, low angle first)
| d [Å] | Rel. int. |
| --- | --- |
| 4.351 | 37 |
| 2.863 | 31 |
| 2.793 | 32 |
| 2.506 | 28 |
| 2.392 | 100 |
| 2.350 | 98 |
| 2.288 | 28 |
| 2.175 | 45 |
| 2.046 | 73 |
| 1.253 | 27 |

=====

6.
ScPd4Au: simulated XRD peak list (a wavelength of 1.5418 Å), based on the PBE geometry in Alexandria.
Neutral-atom scattering factors, no anomalous dispersion.

Crystal structure
Lattice parameters (Å, degrees): 13.4902 13.4902 4.0819 90.00 90.00 163.02
Positions (direct):
1 Sc 0.1725 0.8275 0.7500
2 Sc 0.8275 0.1725 0.2500
3 Pd 0.1033 0.8967 0.2500
4 Pd 0.2504 0.7496 0.2500
5 Pd 0.3231 0.6769 0.7500
6 Pd 0.3978 0.6022 0.2500
7 Pd 0.6022 0.3978 0.7500
8 Pd 0.6769 0.3231 0.2500
9 Pd 0.7496 0.2504 0.7500
10 Pd 0.8967 0.1033 0.7500
11 Au 0.4675 0.5325 0.7500
12 Au 0.5325 0.4675 0.2500

Peak list (10 most intense, 2θ from 10° to 90°, low angle first)
| d [Å] | Rel. int. |
| --- | --- |
| 3.940 | 23 |
| 3.007 | 11 |
| 2.283 | 100 |
| 2.041 | 18 |
| 1.992 | 17 |
| 1.906 | 13 |
| 1.426 | 11 |
| 1.393 | 11 |
| 1.220 | 13 |
| 1.199 | 12 |

=====

7.
ScPd4Au: simulated XRD peak list (a wavelength of 1.5418 Å), based on the PBE geometry in Alexandria.
Neutral-atom scattering factors, no anomalous dispersion.

Crystal structure
Lattice parameters (Å, degrees): 4.0890 11.6865 4.0950 90.00 90.00 90.00
Positions (direct):
1 Sc 0.0000 0.0000 0.0000
2 Sc 0.5000 0.5000 0.0000
3 Pd 0.0000 0.1679 0.5000
4 Pd 0.0000 0.3354 0.0000
5 Pd 0.0000 0.6646 0.0000
6 Pd 0.0000 0.8321 0.5000
7 Pd 0.5000 0.1646 0.0000
8 Pd 0.5000 0.3321 0.5000
9 Pd 0.5000 0.6679 0.5000
10 Pd 0.5000 0.8354 0.0000
11 Au 0.0000 0.5000 0.5000
12 Au 0.5000 0.0000 0.5000

Peak list (10 most intense, 2θ from 10° to 90°, low angle first)
| d [Å] | Rel. int. |
| --- | --- |
| 3.860 | 10 |
| 3.354 | 6 |
| 2.323 | 100 |
| 2.046 | 34 |
| 1.948 | 15 |
| 1.447 | 11 |
| 1.411 | 20 |
| 1.228 | 25 |
| 1.185 | 11 |
| 1.161 | 11 |

=====

8.
Sc7Pd2Au2: simulated XRD peak list (a wavelength of 1.5418 Å), based on the PBE geometry in Alexandria.
Neutral-atom scattering factors, no anomalous dispersion.

Crystal structure
Lattice parameters (Å, degrees): 6.0676 6.0676 7.1197 90.00 90.00 107.99
Positions (direct):
1 Sc 0.0000 0.0000 0.0000
2 Sc 0.0000 0.5000 0.2875
3 Sc 0.0000 0.5000 0.7125
4 Sc 0.5000 0.0000 0.2875
5 Sc 0.5000 0.0000 0.7125
6 Sc 0.5000 0.5000 0.2786
7 Sc 0.5000 0.5000 0.7214
8 Pd 0.1887 0.1887 0.5000
9 Pd 0.8113 0.8113 0.5000
10 Au 0.2932 0.7068 0.0000
11 Au 0.7068 0.2932 0.0000

Peak list (10 most intense, 2θ from 10° to 90°, low angle first)
| d [Å] | Rel. int. |
| --- | --- |
| 4.041 | 100 |
| 3.561 | 32 |
| 3.189 | 93 |
| 2.974 | 21 |
| 2.744 | 23 |
| 2.454 | 30 |
| 2.282 | 47 |
| 2.242 | 87 |
| 2.137 | 27 |
| 1.857 | 35 |

=====

9.
ScPd6Au8: simulated XRD peak list (a wavelength of 1.5418 Å), based on the PBE geometry in Alexandria.
Neutral-atom scattering factors, no anomalous dispersion.

Crystal structure
Lattice parameters (Å, degrees): 7.6635 7.6635 5.5612 90.00 90.00 120.00
Positions (direct):
1 Sc 0.0000 0.0000 0.0000
2 Pd 0.0341 0.3521 0.8681
3 Pd 0.3179 0.9659 0.8681
4 Pd 0.3521 0.3179 0.1319
5 Pd 0.6479 0.6821 0.8681
6 Pd 0.6821 0.0341 0.1319
7 Pd 0.9659 0.6479 0.1319
8 Au 0.0220 0.3332 0.3726
9 Au 0.3112 0.9780 0.3726
10 Au 0.3332 0.3112 0.6274
11 Au 0.3333 0.6667 0.1316
12 Au 0.6667 0.3333 0.8684
13 Au 0.6668 0.6888 0.3726
14 Au 0.6888 0.0220 0.6274
15 Au 0.9780 0.6668 0.6274

Peak list (10 most intense, 2θ from 10° to 90°, low angle first)
| d [Å] | Rel. int. |
| --- | --- |
| 4.263 | 17 |
| 3.832 | 18 |
| 3.155 | 37 |
| 2.250 | 100 |
| 2.212 | 91 |
| 2.131 | 15 |
| 1.578 | 29 |
| 1.284 | 24 |
| 1.277 | 12 |
| 1.177 | 23 |

=====

10.
Sc5PdAu4: simulated XRD peak list (a wavelength of 1.5418 Å), based on the PBE geometry in Alexandria.
Neutral-atom scattering factors, no anomalous dispersion.

Crystal structure
Lattice parameters (Å, degrees): 3.3940 3.3940 16.8371 90.00 90.00 90.00
Positions (direct):
1 Sc 0.0000 0.0000 0.0000
2 Sc 0.0000 0.0000 0.2025
3 Sc 0.0000 0.0000 0.4044
4 Sc 0.0000 0.0000 0.5956
5 Sc 0.0000 0.0000 0.7975
6 Pd 0.5000 0.5000 0.5000
7 Au 0.5000 0.5000 0.1007
8 Au 0.5000 0.5000 0.3039
9 Au 0.5000 0.5000 0.6961
10 Au 0.5000 0.5000 0.8993

Peak list (10 most intense, 2θ from 10° to 90°, low angle first)
| d [Å] | Rel. int. |
| --- | --- |
| 3.394 | 45 |
| 3.367 | 22 |
| 2.400 | 51 |
| 2.390 | 100 |
| 1.954 | 21 |
| 1.697 | 18 |
| 1.518 | 10 |
| 1.384 | 35 |
| 1.378 | 17 |
| 1.195 | 11 |

=====

11.
Pd7AuSe2: simulated XRD peak list (a wavelength of 1.5418 Å), based on the PBE geometry in Alexandria.
Neutral-atom scattering factors, no anomalous dispersion.

Crystal structure
Lattice parameters (Å, degrees): 10.7306 10.7306 10.7306 158.08 158.08 31.19
Positions (direct):
1 Pd 0.0000 0.0000 0.0000
2 Pd 0.0970 0.5970 0.5000
3 Pd 0.2500 0.7500 0.5000
4 Pd 0.4030 0.9030 0.5000
5 Pd 0.5970 0.0970 0.5000
6 Pd 0.7500 0.2500 0.5000
7 Pd 0.9030 0.4030 0.5000
8 Au 0.5000 0.5000 0.0000
9 Se 0.1699 0.1699 0.0000
10 Se 0.8301 0.8301 0.0000

Peak list (10 most intense, 2θ from 10° to 90°, low angle first)
| d [Å] | Rel. int. |
| --- | --- |
| 3.511 | 19 |
| 2.779 | 14 |
| 2.584 | 9 |
| 2.519 | 16 |
| 2.212 | 100 |
| 2.040 | 44 |
| 1.723 | 8 |
| 1.443 | 14 |
| 1.316 | 13 |
| 1.208 | 28 |

=====

12.
PdAuSe3: simulated XRD peak list (a wavelength of 1.5418 Å), based on the PBE geometry in Alexandria.
Neutral-atom scattering factors, no anomalous dispersion.

Crystal structure
Lattice parameters (Å, degrees): 8.2645 8.2645 6.8865 98.60 98.60 84.62
Positions (direct):
1 Pd 0.0805 0.9195 0.7500
2 Pd 0.2637 0.7363 0.2500
3 Pd 0.7363 0.2637 0.7500
4 Pd 0.9195 0.0805 0.2500
5 Au 0.1969 0.4335 0.6837
6 Au 0.4335 0.1969 0.1837
7 Au 0.5665 0.8031 0.8163
8 Au 0.8031 0.5665 0.3163
9 Se 0.0117 0.1966 0.6110
10 Se 0.0788 0.6603 0.9175
11 Se 0.1966 0.0117 0.1110
12 Se 0.3397 0.9212 0.5825
13 Se 0.3564 0.4760 0.4099
14 Se 0.4760 0.3564 0.9099
15 Se 0.5240 0.6436 0.0901
16 Se 0.6436 0.5240 0.5901
17 Se 0.6603 0.0788 0.4175
18 Se 0.8034 0.9883 0.8890
19 Se 0.9212 0.3397 0.0825
20 Se 0.9883 0.8034 0.3890

Peak list (10 most intense, 2θ from 10° to 90°, low angle first)
| d [Å] | Rel. int. |
| --- | --- |
| 4.292 | 42 |
| 3.756 | 40 |
| 3.584 | 52 |
| 3.293 | 100 |
| 3.217 | 77 |
| 2.787 | 34 |
| 2.520 | 53 |
| 1.952 | 69 |
| 1.943 | 38 |
| 1.844 | 42 |

=====

Q: Number 1 is which compound?
A: SbPd6Au3